The following is a computed powder X-ray diffraction pattern of La9Pr4Er. It was derived from a structure optimized by DFT (GGA-PBE), using Cu Kα (weighted mean of Kα1 and Kα2).
Kinematic intensities with the Lorentz-polarization factor, no thermal factor.

Peak list (12 most intense, 2θ from 15° to 90°, sorted by position)
2theta, I/Imax, index
21.7, 11, 2 0 1
30.6, 38, 0 0 4
30.7, 26, 2 0 3
31.1, 100, 2 1 2
31.6, 38, 3 0 1
35.5, 14, 2 2 0
47.6, 12, 2 2 4
50.0, 23, 3 0 5
54.4, 17, 3 3 0
54.7, 31, 5 0 2
59.3, 9, 2 0 7
63.8, 23, 3 3 4

Atomic structure:
abc: 10.1179 10.1179 11.6648
angles: 90.00 90.00 120.00
Fractional coordinates of all 28 atoms:
La1 0.0789 0.5394 0.2500
La2 0.2073 0.4146 0.5309
La3 0.2073 0.4146 0.9691
La4 0.2073 0.7927 0.5309
La5 0.2073 0.7927 0.9691
La6 0.4146 0.2073 0.0309
La7 0.4146 0.2073 0.4691
La8 0.4606 0.5394 0.2500
La9 0.4606 0.9211 0.2500
La10 0.5394 0.0789 0.7500
La11 0.5394 0.4606 0.7500
La12 0.5854 0.7927 0.5309
La13 0.5854 0.7927 0.9691
La14 0.7927 0.2073 0.0309
La15 0.7927 0.2073 0.4691
La16 0.7927 0.5854 0.0309
La17 0.7927 0.5854 0.4691
La18 0.9211 0.4606 0.7500
Pr1 0.0000 0.0000 0.0000
Pr2 0.0000 0.0000 0.5000
Pr3 0.1147 0.2294 0.2500
Pr4 0.1147 0.8853 0.2500
Pr5 0.2294 0.1147 0.7500
Pr6 0.7706 0.8853 0.2500
Pr7 0.8853 0.1147 0.7500
Pr8 0.8853 0.7706 0.7500
Er1 0.3333 0.6667 0.7500
Er2 0.6667 0.3333 0.2500

---

The following is a computed powder X-ray diffraction pattern of Ca3TbGa4. It was derived from a structure optimized by DFT (GGA-PBE), using Cu Kα (weighted mean of Kα1 and Kα2).
Kinematic intensities with the Lorentz-polarization factor, no thermal factor.

Peak list (12 most intense, 2θ from 15° to 90°, sorted by position)
2theta, I/Imax, index
25.3, 8, 1 0 1
27.4, 7, 1 0 2
34.6, 100, 1 0 4
35.0, 49, 1 1 0
49.3, 9, 0 0 8
50.4, 17, 2 0 0
61.9, 17, 1 1 8
62.6, 34, 2 1 4
73.1, 10, 2 0 8
82.7, 7, 1 0 12
84.3, 7, 3 0 4
84.5, 8, 3 1 0

Atomic structure:
abc: 3.6244 3.6244 14.7971
angles: 90.00 90.00 90.00
Fractional coordinates of all 8 atoms:
Ca1 0.0000 0.0000 0.0000
Ca2 0.0000 0.0000 0.2515
Ca3 0.0000 0.0000 0.7485
Tb1 0.0000 0.0000 0.5000
Ga1 0.5000 0.5000 0.1268
Ga2 0.5000 0.5000 0.3797
Ga3 0.5000 0.5000 0.6203
Ga4 0.5000 0.5000 0.8732

---

The following is a computed powder X-ray diffraction pattern of PdAuF6. It was derived from a structure optimized by DFT (GGA-PBE), using Cu Kα (weighted mean of Kα1 and Kα2).
Kinematic intensities with the Lorentz-polarization factor, no thermal factor.

Peak list (12 most intense, 2θ from 15° to 90°, sorted by position)
2theta, I/Imax, index
22.4, 51, 0 0 2
22.6, 100, 1 1 -1
31.1, 17, 0 2 0
32.1, 58, 1 1 1
33.3, 12, 2 0 -2
38.7, 18, 0 2 2
46.2, 17, 2 2 -2
50.6, 14, 1 3 -1
51.7, 23, 1 1 -5
52.0, 22, 2 2 0
56.0, 15, 1 3 1
56.4, 9, 0 2 4

Atomic structure:
abc: 5.3800 5.7444 9.5635
angles: 90.00 124.07 90.00
Fractional coordinates of all 16 atoms:
Pd1 0.0000 0.0000 0.0000
Pd2 0.0000 0.5000 0.5000
Au1 0.5000 0.0000 0.5000
Au2 0.5000 0.5000 0.0000
F1 0.1138 0.0303 0.2372
F2 0.1138 0.4697 0.7372
F3 0.2330 0.7033 0.0616
F4 0.2330 0.7967 0.5616
F5 0.3660 0.1802 0.0610
F6 0.3660 0.3198 0.5610
F7 0.6340 0.6802 0.4390
F8 0.6340 0.8198 0.9390
F9 0.7670 0.2033 0.4384
F10 0.7670 0.2967 0.9384
F11 0.8862 0.5303 0.2628
F12 0.8862 0.9697 0.7628